For TaTlBr2Cl2O, a GGA-PBE-relaxed structure gives the calculated powder diffractogram in this record (CuKα).
Peak positions follow from Bragg's law for the DFT cell and can differ from measured ones.

Top 12 peaks for 2θ from 5° to 70°, in order of rising 2θ:
d [Å]  Position (°2θ)  Rel. int.  index
6.730  13.16  100  2 0 0
3.468  25.69  58  1 1 -1
3.250  27.44  20  1 1 1
2.937  30.43  69  4 0 -2
2.900  30.83  33  2 0 2
2.745  32.62  13  1 1 -2
2.579  34.78  17  3 1 1
2.218  40.68  13  6 0 -2
2.192  41.18  12  4 0 2
1.999  45.36  15  5 1 1
1.985  45.70  15  1 1 3
1.882  48.36  19  5 1 -3

Crystal structure
```
data_TaTlBr2Cl2O
_cell_length_a 14.043
_cell_length_b 3.924
_cell_length_c 7.684
_cell_angle_alpha 90.00
_cell_angle_beta 106.58
_cell_angle_gamma 90.00
_space_group_name_H-M_alt 'C 1 2 1'
_space_group_IT_number 5
_space_group_name_Hall 'C 2y'
loop_
_atom_site_label
_atom_site_fract_x
_atom_site_fract_y
_atom_site_fract_z
Ta1 0.000 0.000 0.000
Tl1 0.000 0.529 0.500
Br1 0.138 0.035 0.301
Cl1 0.122 0.037 0.838
O1 0.000 0.528 0.000
```